Diffraction record for Cs2PaCuTe4. The X-ray powder pattern is theoretical, not measured: it uses the PBE geometry in Alexandria and Cu Kα (λ = 1.5418 Å).

Principal peaks in the range 10° ≤ 2θ ≤ 90°, low angle first:
- 18.99 deg, 4.673 Å, I = 318
- 24.51 deg, 3.632 Å, I = 1000
- 26.99 deg, 3.304 Å, I = 475
- 30.97 deg, 2.887 Å, I = 921
- 36.59 deg, 2.456 Å, I = 241
- 41.70 deg, 2.166 Å, I = 190
- 43.30 deg, 2.090 Å, I = 305
- 46.05 deg, 1.971 Å, I = 400

Structural model:
Cell lengths 9.345, 9.345, 7.344 Å; angles 90.00, 90.00, 90.00 degrees
Space group I-42m (No. 121)
Asymmetric unit:
Cs 0.000 0.500 0.000 (multiplicity 4)
Pa 0.000 0.000 0.000 (multiplicity 2)
Cu 0.000 0.000 0.500 (multiplicity 2)
Te 0.160 0.160 0.272 (multiplicity 8)



Diffraction record for Sr2AcTl6. The X-ray powder pattern is theoretical, not measured: it uses the PBE geometry in Alexandria and Cu Kα (λ = 1.5418 Å).

Principal peaks in the range 10° ≤ 2θ ≤ 90°, low angle first:
- 22.93 deg, 3.878 Å, I = 206
- 29.91 deg, 2.987 Å, I = 1000
- 33.13 deg, 2.704 Å, I = 983
- 40.68 deg, 2.218 Å, I = 285
- 45.24 deg, 2.004 Å, I = 327
- 57.21 deg, 1.610 Å, I = 329
- 58.58 deg, 1.576 Å, I = 394
- 59.19 deg, 1.561 Å, I = 191

Structural model:
Cell lengths 9.3658, 9.3658, 3.8782 Å; angles 90.00, 90.00, 120.00 degrees
Space group P6/mmm (No. 191)
Asymmetric unit:
Sr 0.3333 0.6667 0.0000 (multiplicity 2)
Ac 0.0000 0.0000 0.0000 (multiplicity 1)
Tl 0.0000 0.3332 0.5000 (multiplicity 6)



Diffraction record for Cs2KIrO4. The X-ray powder pattern is theoretical, not measured: it uses the PBE geometry in Alexandria and Cu Kα (λ = 1.5418 Å).

Principal peaks in the range 10° ≤ 2θ ≤ 90°, low angle first:
- 16.08 deg, 5.513 Å, I = 242
- 18.70 deg, 4.746 Å, I = 1000
- 24.87 deg, 3.581 Å, I = 277
- 25.73 deg, 3.463 Å, I = 408
- 27.27 deg, 3.270 Å, I = 549
- 28.73 deg, 3.108 Å, I = 437
- 35.70 deg, 2.515 Å, I = 190
- 44.00 deg, 2.058 Å, I = 302

Structural model:
Cell lengths 6.899, 14.322, 22.053 Å; angles 90.00, 90.00, 90.00 degrees
Space group Fddd (No. 70, origin choice 2)
Asymmetric unit:
Cs 0.125 0.125 0.303 (multiplicity 16)
K 0.125 0.125 0.125 (multiplicity 8)
Ir 0.125 0.125 0.625 (multiplicity 8)
O 0.067 0.282 0.875 (multiplicity 32)



Diffraction record for Li3Ge2Br7. The X-ray powder pattern is theoretical, not measured: it uses the PBE geometry in Alexandria and Cu Kα (λ = 1.5418 Å).

Principal peaks in the range 10° ≤ 2θ ≤ 90°, low angle first:
- 14.11 deg, 6.276 Å, I = 424
- 25.08 deg, 3.550 Å, I = 604
- 27.92 deg, 3.196 Å, I = 1000
- 28.06 deg, 3.179 Å, I = 732
- 28.97 deg, 3.082 Å, I = 506
- 30.47 deg, 2.934 Å, I = 390
- 32.64 deg, 2.744 Å, I = 536
- 44.32 deg, 2.044 Å, I = 534

Structural model:
Cell lengths 25.103, 7.042, 7.403 Å; angles 90.00, 90.00, 90.00 degrees
Space group Cmc2_1 (No. 36)
Asymmetric unit:
Li 0.000 0.202 0.000 (multiplicity 4)
Li 0.181 0.277 0.094 (multiplicity 8)
Ge 0.109 0.253 0.512 (multiplicity 8)
Br 0.000 0.118 0.660 (multiplicity 4)
Br 0.080 0.396 0.151 (multiplicity 8)
Br 0.152 0.069 0.804 (multiplicity 8)
Br 0.205 0.395 0.441 (multiplicity 8)